# LaSn4Rh2
Simulated PXRD pattern, Cu Ka. Input: a DFT-relaxed cell (GGA-PBE, the Materials Project).
No peak broadening, texture or thermal motion is included.

Structural model:
```
data_LaSn4Rh2
_chemical_formula_sum 'La4 Sn16 Rh8'
_symmetry_space_group_name_H-M 'P n m a'
_symmetry_Int_Tables_number 62
_symmetry_space_group_name_Hall '-P 2ac 2n'
_cell_length_a 18.723
_cell_length_b 4.593
_cell_length_c 7.217
_cell_angle_alpha 90.00
_cell_angle_beta 90.00
_cell_angle_gamma 90.00
loop_
_atom_site_label
_atom_site_type_symbol
_atom_site_fract_x
_atom_site_fract_y
_atom_site_fract_z
_atom_site_occupancy
La1 La 0.142 0.250 0.002 1
Sn1 Sn 0.031 0.750 0.862 1
Sn2 Sn 0.068 0.250 0.484 1
Sn3 Sn 0.182 0.750 0.305 1
Sn4 Sn 0.194 0.750 0.721 1
Rh1 Rh 0.035 0.750 0.249 1
Rh2 Rh 0.214 0.250 0.518 1
```

Top 8 peaks for 5 to 70 degrees two-theta, by angle:
2θ/deg, d [Å], I (rel.)
33.0, 2.716, 100
33.3, 2.693, 61
34.8, 2.581, 22
35.8, 2.508, 29
39.2, 2.296, 50
43.1, 2.099, 24
54.2, 1.694, 18
62.4, 1.489, 19